Y3GeI3: theoretical powder diffractogram (Cu Kα (weighted mean of Kα1 and Kα2)), based on DFT lattice parameters and positions (PBE).
Neutral-atom scattering factors, no anomalous dispersion.

Crystal structure
```
14
Lattice="8.880 0.000 0.000 0.000 4.257 0.000 -0.081 0.000 12.225" Properties=species:S:1:pos:R:3 pbc="T T T"
Y 0.824 1.064 4.711
Y 0.990 1.064 10.290
Y 2.805 3.192 7.616
Y 5.993 1.064 4.608
Y 7.809 3.192 1.934
Y 7.975 3.192 7.514
Ge 0.996 1.064 7.551
Ge 7.803 3.192 4.673
I 1.185 1.064 1.456
I 3.219 3.192 10.710
I 3.384 3.192 4.503
I 5.415 1.064 7.722
I 5.580 1.064 1.514
I 7.614 3.192 10.768
```

Principal peaks in the range 2θ = 10–90°, by angle:
hkl, 2theta, I/Imax
0 1 2, 25.50, 10
2 1 0, 29.06, 100
0 0 4, 29.22, 48
4 0 0, 40.64, 16
2 1 -4, 41.58, 33
2 1 4, 41.78, 33
0 2 0, 42.47, 19
0 2 4, 52.39, 18
4 2 0, 60.24, 10
4 2 4, 68.46, 11